# Li4YTcO6
Computed powder XRD pattern, copper Kα. Input: a crystal structure in OQMD, relaxed with GGA-PBE.

Structure:
Cell: 5.3609 5.3609 5.1931 Å, 99.63 99.63 120.20°
Atoms (fractional coordinates):
1 Li 0.0000 0.0000 0.0000
2 Li 0.3729 0.6271 0.0000
3 Li 0.6906 0.3094 0.0000
4 Li 0.8504 0.1496 0.5000
5 Y 0.1868 0.8132 0.5000
6 Tc 0.5184 0.4816 0.5000
7 O 0.1289 0.3969 0.2556
8 O 0.2857 0.2590 0.7316
9 O 0.4446 0.1062 0.2586
10 O 0.6031 0.8711 0.7444
11 O 0.7410 0.7143 0.2684
12 O 0.8938 0.5554 0.7414

Principal peaks in the range 2θ = 15–90°, sorted by position:
| d_spacing | Position (°2θ) | I (rel.) |
| --- | --- | --- |
| 4.892 | 18.1 | 100.0 |
| 4.427 | 20.1 | 40.9 |
| 3.905 | 22.8 | 30.1 |
| 2.639 | 34.0 | 36.7 |
| 2.168 | 41.7 | 63.6 |
| 2.152 | 42.0 | 28.7 |

=====

# Li6Tm2O7
Computed powder XRD pattern, copper Kα. Input: a crystal structure in OQMD, relaxed with GGA-PBE.

Structure:
Cell: 5.4022 5.5050 6.0945 Å, 68.39 82.62 78.85°
Atoms (fractional coordinates):
1 Li 0.0386 0.2220 0.4157
2 Li 0.3452 0.6873 0.2917
3 Li 0.4011 0.7364 0.8300
4 Li 0.5989 0.2636 0.1700
5 Li 0.6548 0.3127 0.7083
6 Li 0.9614 0.7780 0.5843
7 Tm 0.1450 0.2518 0.9227
8 Tm 0.8550 0.7482 0.0773
9 O 0.0350 0.0101 0.7459
10 O 0.2226 0.4729 0.1420
11 O 0.3162 0.5548 0.6249
12 O 0.5000 0.0000 0.0000
13 O 0.6838 0.4452 0.3751
14 O 0.7774 0.5271 0.8580
15 O 0.9650 0.9899 0.2541

Principal peaks in the range 2θ = 15–90°, sorted by position:
| d_spacing | Position (°2θ) | I (rel.) |
| --- | --- | --- |
| 5.655 | 15.7 | 100.0 |
| 5.290 | 16.8 | 41.0 |
| 3.987 | 22.3 | 63.1 |
| 3.395 | 26.2 | 24.5 |
| 3.202 | 27.9 | 23.5 |
| 2.849 | 31.4 | 30.8 |

=====

# Li5ZnO4
Computed powder XRD pattern, copper Kα. Input: a crystal structure in OQMD, relaxed with GGA-PBE.

Structure:
Cell: 4.9817 3.1685 5.3439 Å, 90.00 91.76 90.00°
Atoms (fractional coordinates):
1 Li 0.0000 0.0000 0.0000
2 Li 0.3409 0.5000 0.1603
3 Li 0.3670 0.0000 0.6732
4 Li 0.6330 0.0000 0.3268
5 Li 0.6591 0.5000 0.8397
6 Zn 0.0000 0.5000 0.5000
7 O 0.2337 0.0000 0.3336
8 O 0.2467 0.5000 0.8194
9 O 0.7533 0.5000 0.1806
10 O 0.7663 0.0000 0.6664

Principal peaks in the range 2θ = 15–90°, sorted by position:
| d_spacing | Position (°2θ) | I (rel.) |
| --- | --- | --- |
| 5.341 | 16.6 | 100.0 |
| 4.979 | 17.8 | 85.4 |
| 3.699 | 24.1 | 42.5 |
| 3.588 | 24.8 | 37.0 |
| 2.406 | 37.4 | 88.5 |
| 1.852 | 49.2 | 52.8 |

=====

# Li3ZnO4
Computed powder XRD pattern, copper Kα. Input: a crystal structure in OQMD, relaxed with GGA-PBE.

Structure:
Cell: 4.9670 11.5587 5.0190 Å, 90.00 109.68 90.00°
Atoms (fractional coordinates):
1 Li 0.0000 0.0000 0.0000
2 Li 0.0000 0.1199 0.5000
3 Li 0.0000 0.2423 0.0000
4 Li 0.0000 0.3742 0.5000
5 Li 0.0000 0.5051 0.0000
6 Li 0.0000 0.6286 0.5000
7 Li 0.0000 0.7530 0.0000
8 Li 0.0000 0.8791 0.5000
9 Li 0.5000 0.1199 0.0000
10 Li 0.5000 0.6282 0.0000
11 Li 0.5000 0.8784 0.0000
12 Li 0.5000 0.9993 0.5000
13 Zn 0.5000 0.2427 0.5000
14 Zn 0.5000 0.3744 0.0000
15 Zn 0.5000 0.5036 0.5000
16 Zn 0.5000 0.7548 0.5000
17 O 0.2416 0.0005 0.7577
18 O 0.2495 0.1252 0.2583
19 O 0.2520 0.8727 0.2512
20 O 0.2527 0.6275 0.2588
21 O 0.2567 0.3741 0.2527
22 O 0.2594 0.4963 0.7514
23 O 0.2624 0.7532 0.7374
24 O 0.2634 0.2518 0.7496
25 O 0.7366 0.2518 0.2504
26 O 0.7376 0.7532 0.2626
27 O 0.7406 0.4963 0.2486
28 O 0.7433 0.3741 0.7473
29 O 0.7473 0.6275 0.7412
30 O 0.7480 0.8727 0.7488
31 O 0.7505 0.1252 0.7417
32 O 0.7584 0.0005 0.2423

Principal peaks in the range 2θ = 15–90°, sorted by position:
| d_spacing | Position (°2θ) | I (rel.) |
| --- | --- | --- |
| 4.677 | 19.0 | 65.5 |
| 4.336 | 20.5 | 21.9 |
| 2.467 | 36.4 | 34.8 |
| 2.039 | 44.4 | 100.0 |
| 1.448 | 64.3 | 18.3 |
| 1.437 | 64.9 | 26.7 |

=====

# LiZr2O6
Computed powder XRD pattern, copper Kα. Input: a crystal structure in OQMD, relaxed with GGA-PBE.

Structure:
Cell: 3.5142 5.4551 6.0030 Å, 112.50 96.06 106.59°
Atoms (fractional coordinates):
1 Li 0.0000 0.0000 0.0000
2 Zr 0.1649 0.7039 0.3526
3 Zr 0.8962 0.3543 0.7519
4 O 0.2152 0.7477 0.0320
5 O 0.2711 0.1004 0.7213
6 O 0.4762 0.6155 0.6717
7 O 0.6035 0.4491 0.4462
8 O 0.7879 0.9546 0.3943
9 O 0.8513 0.3096 0.0750

Principal peaks in the range 2θ = 15–90°, sorted by position:
| d_spacing | Position (°2θ) | I (rel.) |
| --- | --- | --- |
| 4.699 | 18.9 | 100.0 |
| 3.286 | 27.1 | 53.1 |
| 2.965 | 30.1 | 47.5 |
| 2.951 | 30.3 | 31.0 |
| 2.519 | 35.6 | 34.3 |
| 1.794 | 50.9 | 26.4 |

=====

# Li8Zr4O11
Computed powder XRD pattern, copper Kα. Input: a crystal structure in OQMD, relaxed with GGA-PBE.

Structure:
Cell: 5.2250 5.3677 9.2570 Å, 85.39 75.10 79.82°
Atoms (fractional coordinates):
1 Li 0.0000 0.0000 0.0000
2 Li 0.0433 0.2716 0.4206
3 Li 0.1551 0.5382 0.8484
4 Li 0.3366 0.0205 0.6699
5 Li 0.4933 0.4916 0.5137
6 Li 0.5722 0.7641 0.9202
7 Li 0.6520 0.0033 0.3527
8 Li 0.8349 0.5256 0.1581
9 Zr 0.2434 0.7716 0.2546
10 Zr 0.4103 0.2655 0.0869
11 Zr 0.7501 0.2681 0.7573
12 Zr 0.9229 0.7598 0.5883
13 O 0.0601 0.1446 0.2052
14 O 0.1096 0.3941 0.6323
15 O 0.2032 0.6429 0.0508
16 O 0.2912 0.8590 0.4607
17 O 0.3868 0.1611 0.8750
18 O 0.5634 0.6337 0.7060
19 O 0.6057 0.9135 0.1421
20 O 0.7108 0.1287 0.5524
21 O 0.7818 0.3831 0.9605
22 O 0.8928 0.6492 0.3796
23 O 0.9620 0.8997 0.7869

Principal peaks in the range 2θ = 15–90°, sorted by position:
| d_spacing | Position (°2θ) | I (rel.) |
| --- | --- | --- |
| 4.898 | 18.1 | 100.0 |
| 4.621 | 19.2 | 29.9 |
| 4.472 | 19.9 | 39.1 |
| 2.638 | 34.0 | 38.8 |
| 2.189 | 41.2 | 30.2 |
| 2.166 | 41.7 | 62.7 |

=====

# Li3ZrO4
Computed powder XRD pattern, copper Kα. Input: a crystal structure in OQMD, relaxed with GGA-PBE.

Structure:
Cell: 5.1381 12.1411 5.2776 Å, 90.00 108.72 90.00°
Atoms (fractional coordinates):
1 Li 0.0000 0.0000 0.0000
2 Li 0.0000 0.1067 0.5000
3 Li 0.0000 0.6402 0.5000
4 Li 0.0000 0.8806 0.5000
5 Li 0.5000 0.1128 0.0000
6 Li 0.5000 0.2255 0.5000
7 Li 0.5000 0.3719 0.0000
8 Li 0.5000 0.5232 0.5000
9 Li 0.5000 0.6363 0.0000
10 Li 0.5000 0.7594 0.5000
11 Li 0.5000 0.8855 0.0000
12 Li 0.5000 0.9978 0.5000
13 Zr 0.0000 0.2257 0.0000
14 Zr 0.0000 0.3721 0.5000
15 Zr 0.0000 0.5117 0.0000
16 Zr 0.0000 0.7708 0.0000
17 O 0.2318 0.3749 0.2368
18 O 0.2399 0.6321 0.2342
19 O 0.2415 0.2504 0.7488
20 O 0.2409 0.4976 0.7461
21 O 0.2435 0.9938 0.7548
22 O 0.2485 0.7607 0.7527
23 O 0.2520 0.8812 0.2541
24 O 0.2534 0.1199 0.2466
25 O 0.7466 0.1199 0.7534
26 O 0.7480 0.8812 0.7459
27 O 0.7515 0.7607 0.2473
28 O 0.7565 0.9938 0.2452
29 O 0.7585 0.2504 0.2512
30 O 0.7591 0.4976 0.2539
31 O 0.7601 0.6321 0.7658
32 O 0.7682 0.3749 0.7632

Principal peaks in the range 2θ = 15–90°, sorted by position:
| d_spacing | Position (°2θ) | I (rel.) |
| --- | --- | --- |
| 4.998 | 17.7 | 27.0 |
| 4.866 | 18.2 | 100.0 |
| 3.145 | 28.4 | 27.2 |
| 2.594 | 34.6 | 29.6 |
| 2.146 | 42.1 | 80.2 |
| 2.115 | 42.7 | 38.2 |

=====

# Li8Zr4O11
Computed powder XRD pattern, copper Kα. Input: a crystal structure in OQMD, relaxed with GGA-PBE.

Structure:
Cell: 5.2167 5.3656 9.2540 Å, 84.02 75.24 80.18°
Atoms (fractional coordinates):
1 Li 0.0000 0.0000 0.0000
2 Li 0.0446 0.2598 0.4371
3 Li 0.1225 0.5387 0.8608
4 Li 0.2940 0.0125 0.6810
5 Li 0.4678 0.5056 0.5111
6 Li 0.5472 0.7630 0.9276
7 Li 0.6065 0.0376 0.3705
8 Li 0.8057 0.4846 0.1921
9 Zr 0.1986 0.7693 0.2688
10 Zr 0.3847 0.2640 0.1040
11 Zr 0.7105 0.2618 0.7718
12 Zr 0.8792 0.7617 0.6022
13 O 0.0155 0.1397 0.2260
14 O 0.0670 0.3952 0.6511
15 O 0.1577 0.6352 0.0746
16 O 0.2388 0.8787 0.4792
17 O 0.3522 0.1420 0.9029
18 O 0.4275 0.4116 0.3004
19 O 0.5194 0.6291 0.7301
20 O 0.6628 0.1314 0.5737
21 O 0.7512 0.3592 0.9797
22 O 0.8329 0.6587 0.4019
23 O 0.9240 0.8943 0.8038

Principal peaks in the range 2θ = 15–90°, sorted by position:
| d_spacing | Position (°2θ) | I (rel.) |
| --- | --- | --- |
| 4.887 | 18.2 | 100.0 |
| 4.675 | 19.0 | 21.2 |
| 4.421 | 20.1 | 24.1 |
| 3.379 | 26.4 | 21.5 |
| 2.177 | 41.5 | 59.8 |
| 2.163 | 41.8 | 34.6 |

=====

# LiZr3O6
Computed powder XRD pattern, copper Kα. Input: a crystal structure in OQMD, relaxed with GGA-PBE.

Structure:
Cell: 3.2115 3.2115 14.6488 Å, 90.00 90.00 120.00°
Atoms (fractional coordinates):
1 Li 0.0000 0.0000 0.0000
2 Zr 0.0000 0.0000 0.1849
3 Zr 0.0000 0.0000 0.5000
4 Zr 0.0000 0.0000 0.8151
5 O 0.3333 0.6667 0.2538
6 O 0.3333 0.6667 0.5690
7 O 0.3333 0.6667 0.9035
8 O 0.6667 0.3333 0.0965
9 O 0.6667 0.3333 0.4310
10 O 0.6667 0.3333 0.7462

Principal peaks in the range 2θ = 15–90°, sorted by position:
| d_spacing | Position (°2θ) | I (rel.) |
| --- | --- | --- |
| 4.883 | 18.2 | 100.0 |
| 2.781 | 32.2 | 49.4 |
| 2.417 | 37.2 | 88.0 |
| 1.835 | 49.7 | 41.6 |
| 1.606 | 57.4 | 22.4 |
| 1.525 | 60.7 | 21.1 |

=====

# LiOsPd
Computed powder XRD pattern, copper Kα. Input: a crystal structure in OQMD, relaxed with GGA-PBE.

Structure:
Cell: 4.1542 4.1542 4.1542 Å, 60.00 60.00 60.00°
Atoms (fractional coordinates):
1 Li 0.0000 0.0000 0.0000
2 Os 0.2500 0.2500 0.2500
3 Pd 0.5000 0.5000 0.5000

Principal peaks in the range 2θ = 15–90°, sorted by position:
| d_spacing | Position (°2θ) | I (rel.) |
| --- | --- | --- |
| 3.392 | 26.3 | 100.0 |
| 2.077 | 43.6 | 77.0 |
| 1.771 | 51.6 | 47.7 |
| 1.348 | 69.8 | 19.4 |
| 1.199 | 80.0 | 26.1 |
| 1.131 | 86.0 | 15.2 |

=====

# Sr2LiOsS6
Computed powder XRD pattern, copper Kα. Input: a crystal structure in OQMD, relaxed with GGA-PBE.

Structure:
Cell: 5.6158 6.7670 6.7742 Å, 92.15 114.41 114.31°
Atoms (fractional coordinates):
1 Sr 0.0120 0.2718 0.2544
2 Sr 0.9880 0.7282 0.7456
3 Li 0.5000 0.5000 0.0000
4 Os 0.5000 0.0000 0.5000
5 S 0.9996 0.1799 0.7831
6 S 0.0004 0.8201 0.2169
7 S 0.4082 0.6703 0.6433
8 S 0.4590 0.1786 0.7830
9 S 0.5410 0.8214 0.2170
10 S 0.5918 0.3297 0.3567

Principal peaks in the range 2θ = 15–90°, sorted by position:
| d_spacing | Position (°2θ) | I (rel.) |
| --- | --- | --- |
| 4.867 | 18.2 | 44.6 |
| 3.310 | 26.9 | 100.0 |
| 2.987 | 29.9 | 50.6 |
| 2.438 | 36.9 | 35.5 |
| 2.258 | 39.9 | 30.4 |
| 2.048 | 44.2 | 27.8 |

=====

# Li2Ta2SiSnOs2
Computed powder XRD pattern, copper Kα. Input: a crystal structure in OQMD, relaxed with GGA-PBE.

Structure:
Cell: 4.3755 4.3755 6.2525 Å, 90.00 90.00 90.00°
Atoms (fractional coordinates):
1 Li 0.0000 0.5000 0.2337
2 Li 0.5000 0.0000 0.7663
3 Ta 0.0000 0.0000 0.0000
4 Ta 0.5000 0.5000 0.5000
5 Si 0.5000 0.5000 0.0000
6 Sn 0.0000 0.0000 0.5000
7 Os 0.0000 0.5000 0.7626
8 Os 0.5000 0.0000 0.2374

Principal peaks in the range 2θ = 15–90°, sorted by position:
| d_spacing | Position (°2θ) | I (rel.) |
| --- | --- | --- |
| 3.585 | 24.8 | 81.6 |
| 2.199 | 41.0 | 100.0 |
| 2.188 | 41.3 | 49.8 |
| 1.867 | 48.8 | 27.1 |
| 1.272 | 74.6 | 17.1 |
| 1.265 | 75.1 | 34.7 |

=====

Repeat the eighth record exactly.
# Li8Zr4O11
Computed powder XRD pattern, copper Kα. Input: a crystal structure in OQMD, relaxed with GGA-PBE.

Structure:
Cell: 5.2167 5.3656 9.2540 Å, 84.02 75.24 80.18°
Atoms (fractional coordinates):
1 Li 0.0000 0.0000 0.0000
2 Li 0.0446 0.2598 0.4371
3 Li 0.1225 0.5387 0.8608
4 Li 0.2940 0.0125 0.6810
5 Li 0.4678 0.5056 0.5111
6 Li 0.5472 0.7630 0.9276
7 Li 0.6065 0.0376 0.3705
8 Li 0.8057 0.4846 0.1921
9 Zr 0.1986 0.7693 0.2688
10 Zr 0.3847 0.2640 0.1040
11 Zr 0.7105 0.2618 0.7718
12 Zr 0.8792 0.7617 0.6022
13 O 0.0155 0.1397 0.2260
14 O 0.0670 0.3952 0.6511
15 O 0.1577 0.6352 0.0746
16 O 0.2388 0.8787 0.4792
17 O 0.3522 0.1420 0.9029
18 O 0.4275 0.4116 0.3004
19 O 0.5194 0.6291 0.7301
20 O 0.6628 0.1314 0.5737
21 O 0.7512 0.3592 0.9797
22 O 0.8329 0.6587 0.4019
23 O 0.9240 0.8943 0.8038

Principal peaks in the range 2θ = 15–90°, sorted by position:
| d_spacing | Position (°2θ) | I (rel.) |
| --- | --- | --- |
| 4.887 | 18.2 | 100.0 |
| 4.675 | 19.0 | 21.2 |
| 4.421 | 20.1 | 24.1 |
| 3.379 | 26.4 | 21.5 |
| 2.177 | 41.5 | 59.8 |
| 2.163 | 41.8 | 34.6 |